Record 1
# Mg7Si4
Calculated PXRD pattern, copper Kα. Input: the PBE geometry in the Materials Project.

Top 10 peaks for 2θ = 15–90°, most intense first:
2theta  intensity
36.5  100
37.8  93
39.7  84
34.8  78
37.8  70
34.0  69
34.5  68
37.2  66
42.3  44
35.9  41

Structure:
```
Mg7Si4
1.0
5.272 0.000 0.000
-0.190 6.139 0.000
-2.492 -0.395 13.626
Mg Si
14 8
Direct
0.000 0.000 0.000
0.004 0.508 0.067
0.113 0.965 0.765
0.246 0.233 0.244
0.285 0.489 0.455
0.303 0.993 0.444
0.376 0.746 0.246
0.467 0.730 0.977
0.473 0.245 0.929
0.564 0.235 0.665
0.582 0.742 0.634
0.762 0.246 0.402
0.806 0.750 0.453
0.913 0.512 0.844
0.040 0.128 0.583
0.049 0.518 0.626
0.377 0.555 0.786
0.538 0.423 0.124
0.624 0.037 0.124
0.635 0.918 0.816
0.874 0.535 0.265
0.896 0.926 0.275
```

=====

Record 2
# Sr2YCu2BiPbO8
Calculated PXRD pattern, copper Kα. Input: the PBE geometry in the Materials Project.

Top 10 peaks for 2θ = 15–90°, most intense first:
2theta  intensity
33.6  100
31.1  100
27.6  83
44.7  53
48.2  47
25.1  38
58.5  35
56.5  25
34.6  22
48.9  21

Structure:
```
Sr2YCu2BiPbO8
1.0
-1.888 1.888 15.573
1.888 -1.888 15.573
1.888 1.888 -15.573
Sr Y Cu Bi Pb O
2 1 2 1 1 8
Direct
0.000 0.000 0.000
0.228 0.228 0.000
0.113 0.113 0.000
0.560 0.560 0.000
0.666 0.666 0.000
0.410 0.410 0.000
0.811 0.811 0.000
0.063 0.563 0.500
0.157 0.657 0.500
0.309 0.309 0.000
0.478 0.478 0.000
0.563 0.063 0.500
0.657 0.157 0.500
0.739 0.739 0.000
0.916 0.916 0.000
```

=====

Record 3
# Mg3Sb
Calculated PXRD pattern, copper Kα. Input: the PBE geometry in the Materials Project.

Top 10 peaks for 2θ = 15–90°, most intense first:
2theta  intensity
34.8  100
21.1  54
62.3  35
41.0  29
24.4  29
50.0  17
83.8  15
54.8  12
56.4  11
73.3  11

Structure:
```
Mg3Sb
1.0
7.302 0.000 0.000
0.000 7.302 0.000
0.000 0.000 7.302
Mg Sb
12 4
Direct
0.000 0.000 0.000
0.000 0.500 0.500
0.250 0.250 0.250
0.250 0.250 0.750
0.250 0.750 0.250
0.250 0.750 0.750
0.500 0.000 0.500
0.500 0.500 0.000
0.750 0.250 0.250
0.750 0.250 0.750
0.750 0.750 0.250
0.750 0.750 0.750
0.000 0.000 0.500
0.000 0.500 0.000
0.500 0.000 0.000
0.500 0.500 0.500
```